Starting from a crystal structure in Alexandria, relaxed with GGA-PBE, the powder diffraction line list of Ac3La5Pr3 was simulated for copper Kα.
Lines closer than 0.1° are merged.

```
data_Ac3La5Pr3
_symmetry_space_group_name_H-M 'P -6 2 m'
_symmetry_Int_Tables_number 189
_symmetry_space_group_name_Hall 'P -6 -2'
_cell_length_a 9.7728
_cell_length_b 9.7728
_cell_length_c 6.2006
_cell_angle_alpha 90.00
_cell_angle_beta 90.00
_cell_angle_gamma 120.00
loop_
_atom_site_label
_atom_site_type_symbol
_atom_site_fract_x
_atom_site_fract_y
_atom_site_fract_z
Ac1 Ac 0.0000 0.4736 0.0000
La1 La 0.0000 0.3664 0.5000
La2 La 0.3333 0.6667 0.5000
Pr1 Pr 0.0000 0.7281 0.5000
```

Main lines, in order of falling intensity (10 to 90 degrees two-theta):
2θ 25.48, d = 3.495 Å, intensity 100, (2 0 1); 2θ 34.94, d = 2.568 Å, intensity 78, (3 0 1); 2θ 28.80, d = 3.100 Å, intensity 61, (0 0 2); 2θ 27.89, d = 3.199 Å, intensity 54, (2 1 0); 2θ 10.45, d = 8.463 Å, intensity 51, (1 0 0); 2θ 40.52, d = 2.226 Å, intensity 40, (2 1 2); 2θ 20.99, d = 4.232 Å, intensity 28, (2 0 0); 2θ 59.70, d = 1.549 Å, intensity 26, (4 2 1)

***

Starting from a crystal structure in Alexandria, relaxed with GGA-PBE, the powder diffraction line list of La2Dy4Sc was simulated for copper Kα.
Lines closer than 0.1° are merged.

```
data_La2Dy4Sc
_symmetry_space_group_name_H-M 'C 1 2/c 1'
_symmetry_Int_Tables_number 15
_cell_length_a 6.689
_cell_length_b 12.027
_cell_length_c 11.418
_cell_angle_alpha 90.00
_cell_angle_beta 90.08
_cell_angle_gamma 90.00
loop_
_symmetry_equiv_pos_as_xyz
'x,y,z'
'-x,-y,-z'
'-x,y,-z+1/2'
'x,-y,z+1/2'
'x+1/2,y+1/2,z'
'-x+1/2,-y+1/2,-z'
'-x+1/2,y+1/2,-z+1/2'
'x+1/2,-y+1/2,z+1/2'
loop_
_atom_site_label
_atom_site_type_symbol
_atom_site_fract_x
_atom_site_fract_y
_atom_site_fract_z
La1 La 0.000 0.029 0.250
La2 La 0.000 0.316 0.250
Dy1 Dy 0.000 0.225 0.545
Dy2 Dy 0.223 0.500 0.000
Sc1 Sc 0.000 0.400 0.750
```

Main lines, in order of falling intensity (10 to 90 degrees two-theta):
2θ 34.47, d = 2.602 Å, intensity 100, (2 2 -2); 2θ 30.34, d = 2.946 Å, intensity 72, (1 3 2); 2θ 27.97, d = 3.190 Å, intensity 61, (1 1 3); 2θ 30.58, d = 2.923 Å, intensity 57, (2 2 0); 2θ 31.34, d = 2.855 Å, intensity 52, (0 0 4); 2θ 29.71, d = 3.007 Å, intensity 40, (0 4 0); 2θ 33.69, d = 2.660 Å, intensity 34, (0 4 2); 2θ 15.52, d = 5.709 Å, intensity 33, (0 0 2)

***

Starting from a crystal structure in Alexandria, relaxed with GGA-PBE, the powder diffraction line list of NaBiTeO6 was simulated for copper Kα.
Lines closer than 0.1° are merged.

```
data_NaBiTeO6
_symmetry_space_group_name_H-M 'P 42 n m'
_symmetry_Int_Tables_number 102
_cell_length_a 4.959
_cell_length_b 4.959
_cell_length_c 9.732
_cell_angle_alpha 90.00
_cell_angle_beta 90.00
_cell_angle_gamma 90.00
loop_
_symmetry_equiv_pos_as_xyz
'x,y,z'
'-y+1/2,x+1/2,z+1/2'
'-x,-y,z'
'y+1/2,-x+1/2,z+1/2'
'-x+1/2,y+1/2,z+1/2'
'y,x,z'
'x+1/2,-y+1/2,z+1/2'
'-y,-x,z'
loop_
_atom_site_label
_atom_site_type_symbol
_atom_site_fract_x
_atom_site_fract_y
_atom_site_fract_z
Na1 Na 0.000 0.000 0.000
Bi1 Bi 0.000 0.000 0.330
Te1 Te 0.000 0.000 0.667
O1 O 0.182 0.182 0.513
O2 O 0.192 0.192 0.814
O3 O 0.219 0.219 0.172
```

Main lines, in order of falling intensity (10 to 90 degrees two-theta):
2θ 25.40, d = 3.507 Å, intensity 100, (1 1 0); 2θ 32.99, d = 2.715 Å, intensity 80, (1 0 3); 2θ 49.80, d = 1.831 Å, intensity 68, (2 1 3); 2θ 20.10, d = 4.419 Å, intensity 63, (1 0 1); 2θ 63.14, d = 1.473 Å, intensity 36, (3 0 3); 2θ 86.26, d = 1.128 Å, intensity 25, (4 1 3); 2θ 36.23, d = 2.480 Å, intensity 23, (2 0 0); 2θ 31.44, d = 2.845 Å, intensity 23, (1 1 2)

***

Repeat the third record exactly.
Starting from a crystal structure in Alexandria, relaxed with GGA-PBE, the powder diffraction line list of NaBiTeO6 was simulated for copper Kα.
Lines closer than 0.1° are merged.

```
data_NaBiTeO6
_symmetry_space_group_name_H-M 'P 42 n m'
_symmetry_Int_Tables_number 102
_cell_length_a 4.959
_cell_length_b 4.959
_cell_length_c 9.732
_cell_angle_alpha 90.00
_cell_angle_beta 90.00
_cell_angle_gamma 90.00
loop_
_symmetry_equiv_pos_as_xyz
'x,y,z'
'-y+1/2,x+1/2,z+1/2'
'-x,-y,z'
'y+1/2,-x+1/2,z+1/2'
'-x+1/2,y+1/2,z+1/2'
'y,x,z'
'x+1/2,-y+1/2,z+1/2'
'-y,-x,z'
loop_
_atom_site_label
_atom_site_type_symbol
_atom_site_fract_x
_atom_site_fract_y
_atom_site_fract_z
Na1 Na 0.000 0.000 0.000
Bi1 Bi 0.000 0.000 0.330
Te1 Te 0.000 0.000 0.667
O1 O 0.182 0.182 0.513
O2 O 0.192 0.192 0.814
O3 O 0.219 0.219 0.172
```

Main lines, in order of falling intensity (10 to 90 degrees two-theta):
2θ 25.40, d = 3.507 Å, intensity 100, (1 1 0); 2θ 32.99, d = 2.715 Å, intensity 80, (1 0 3); 2θ 49.80, d = 1.831 Å, intensity 68, (2 1 3); 2θ 20.10, d = 4.419 Å, intensity 63, (1 0 1); 2θ 63.14, d = 1.473 Å, intensity 36, (3 0 3); 2θ 86.26, d = 1.128 Å, intensity 25, (4 1 3); 2θ 36.23, d = 2.480 Å, intensity 23, (2 0 0); 2θ 31.44, d = 2.845 Å, intensity 23, (1 1 2)